(1)
ErSb: simulated powder XRD pattern (CuKα), based on a structure optimized by DFT (GGA-PBE).

Structure:
a = 6.1589 Å, b = 6.1589 Å, c = 6.1589 Å
α = 90.00°, β = 90.00°, γ = 90.00°
Positions (direct):
Er 0.0000 0.0000 0.0000
Er 0.0000 0.5000 0.5000
Er 0.5000 0.0000 0.5000
Er 0.5000 0.5000 0.0000
Sb 0.0000 0.0000 0.5000
Sb 0.0000 0.5000 0.0000
Sb 0.5000 0.0000 0.0000
Sb 0.5000 0.5000 0.5000

Principal peaks in the range 10 to 80 degrees two-theta, in order of falling intensity:
two_theta, intensity
29.0, 100
41.5, 76
68.1, 35
51.4, 27
75.6, 26
60.1, 13

(2)
Nb2Cr4Si5: simulated powder XRD pattern (CuKα), based on a structure optimized by DFT (GGA-PBE).

Structure:
a = 9.0787 Å, b = 9.0787 Å, c = 9.0787 Å
α = 131.11°, β = 59.05°, γ = 148.97°
Positions (direct):
Nb 0.1413 0.1200 0.2613
Nb 0.3587 0.6200 0.9787
Nb 0.6413 0.3800 0.0213
Nb 0.8587 0.8800 0.7387
Cr 0.0576 0.7500 0.3076
Cr 0.0609 0.7447 0.8056
Cr 0.4391 0.2447 0.6839
Cr 0.4424 0.7500 0.6924
Cr 0.5576 0.2500 0.3076
Cr 0.5609 0.7553 0.3161
Cr 0.9391 0.2553 0.1944
Cr 0.9424 0.2500 0.6924
Si 0.0650 0.4229 0.4879
Si 0.2118 0.7919 0.0037
Si 0.2500 0.2500 0.0000
Si 0.2882 0.2919 0.5801
Si 0.4350 0.9229 0.3579
Si 0.5650 0.0771 0.6421
Si 0.7118 0.7081 0.4199
Si 0.7500 0.7500 0.0000
Si 0.7882 0.2081 0.9963
Si 0.9350 0.5771 0.5121

Principal peaks in the range 10 to 80 degrees two-theta, in order of falling intensity:
two_theta, intensity
41.7, 100
42.2, 85
42.7, 80
40.8, 62
39.9, 44
30.6, 37

(3)
CoPS: simulated powder XRD pattern (CuKα), based on a structure optimized by DFT (GGA-PBE).

Structure:
a = 5.4156 Å, b = 5.4156 Å, c = 5.4156 Å
α = 90.00°, β = 90.00°, γ = 90.00°
Positions (direct):
Co 0.0021 0.4979 0.5021
Co 0.4979 0.5021 0.0021
Co 0.5021 0.0021 0.4979
Co 0.9979 0.9979 0.9979
P 0.1153 0.6153 0.8847
P 0.3847 0.3847 0.3847
P 0.6153 0.8847 0.1153
P 0.8847 0.1153 0.6153
S 0.1155 0.8845 0.3845
S 0.3845 0.1155 0.8845
S 0.6155 0.6155 0.6155
S 0.8845 0.3845 0.1155

Principal peaks in the range 10 to 80 degrees two-theta, in order of falling intensity:
two_theta, intensity
56.3, 100
33.1, 92
47.5, 52
37.1, 47
28.5, 46
40.8, 39

(4)
CaAg2O4: simulated powder XRD pattern (CuKα), based on a structure optimized by DFT (GGA-PBE).

Structure:
a = 9.6151 Å, b = 3.3261 Å, c = 11.2671 Å
α = 90.00°, β = 90.00°, γ = 90.00°
Positions (direct):
Ca 0.2414 0.2500 0.1577
Ca 0.2586 0.7500 0.6577
Ca 0.7414 0.2500 0.3423
Ca 0.7586 0.7500 0.8423
Ag 0.0625 0.2500 0.3883
Ag 0.0833 0.2500 0.8938
Ag 0.4167 0.7500 0.3938
Ag 0.4375 0.7500 0.8883
Ag 0.5625 0.2500 0.1117
Ag 0.5833 0.2500 0.6062
Ag 0.9167 0.7500 0.1062
Ag 0.9375 0.7500 0.6117
O 0.0205 0.7500 0.7781
O 0.1059 0.2500 0.5698
O 0.1167 0.7500 0.0341
O 0.2187 0.7500 0.3197
O 0.2813 0.2500 0.8197
O 0.3833 0.2500 0.5341
O 0.3941 0.7500 0.0698
O 0.4795 0.2500 0.2781
O 0.5205 0.7500 0.7219
O 0.6059 0.2500 0.9302
O 0.6167 0.7500 0.4659
O 0.7187 0.7500 0.1803
O 0.7813 0.2500 0.6803
O 0.8833 0.2500 0.9659
O 0.8941 0.7500 0.4302
O 0.9795 0.2500 0.2219

Principal peaks in the range 10 to 80 degrees two-theta, in order of falling intensity:
two_theta, intensity
32.6, 100
32.1, 79
32.7, 43
31.8, 38
46.3, 38
18.5, 31

(5)
HoB4Mo: simulated powder XRD pattern (CuKα), based on a structure optimized by DFT (GGA-PBE).

Structure:
a = 6.0206 Å, b = 11.6347 Å, c = 3.6164 Å
α = 90.00°, β = 90.00°, γ = 90.00°
Positions (direct):
Ho 0.1269 0.1499 0.0000
Ho 0.3731 0.6499 0.0000
Ho 0.6269 0.3501 0.0000
Ho 0.8731 0.8501 0.0000
B 0.0241 0.6936 0.5000
B 0.1146 0.5475 0.5000
B 0.1329 0.9679 0.5000
B 0.2131 0.8135 0.5000
B 0.2869 0.3135 0.5000
B 0.3671 0.4679 0.5000
B 0.3854 0.0475 0.5000
B 0.4759 0.1936 0.5000
B 0.5241 0.8064 0.5000
B 0.6146 0.9525 0.5000
B 0.6329 0.5321 0.5000
B 0.7131 0.6865 0.5000
B 0.7869 0.1865 0.5000
B 0.8671 0.0321 0.5000
B 0.8854 0.4525 0.5000
B 0.9759 0.3064 0.5000
Mo 0.1299 0.4163 0.0000
Mo 0.3701 0.9163 0.0000
Mo 0.6299 0.0837 0.0000
Mo 0.8701 0.5837 0.0000

Principal peaks in the range 10 to 80 degrees two-theta, in order of falling intensity:
two_theta, intensity
39.7, 100
24.6, 81
30.7, 81
45.7, 30
37.1, 29
42.6, 28

(6)
SrZrInSbO6: simulated powder XRD pattern (CuKα), based on a structure optimized by DFT (GGA-PBE).

Structure:
a = 5.8393 Å, b = 5.8393 Å, c = 5.8393 Å
α = 60.00°, β = 60.00°, γ = 60.00°
Positions (direct):
Sr 0.0000 0.0000 0.0000
Zr 0.2500 0.2500 0.2500
In 0.5000 0.5000 0.5000
Sb 0.7500 0.7500 0.7500
O 0.5063 0.5063 0.9937
O 0.5063 0.9937 0.5063
O 0.5063 0.9937 0.9937
O 0.9937 0.5063 0.5063
O 0.9937 0.5063 0.9937
O 0.9937 0.9937 0.5063

Principal peaks in the range 10 to 80 degrees two-theta, in order of falling intensity:
two_theta, intensity
30.6, 100
54.4, 39
43.9, 32
63.8, 20
72.4, 17
18.6, 3

(7)
CsK3: simulated powder XRD pattern (CuKα), based on a structure optimized by DFT (GGA-PBE).

Structure:
a = 9.9522 Å, b = 9.9522 Å, c = 7.8215 Å
α = 90.00°, β = 90.00°, γ = 120.00°
Positions (direct):
Cs 0.3333 0.6667 0.2500
Cs 0.6667 0.3333 0.7500
K 0.1614 0.3228 0.7500
K 0.1614 0.8386 0.7500
K 0.3228 0.1614 0.2500
K 0.6772 0.8386 0.7500
K 0.8386 0.1614 0.2500
K 0.8386 0.6772 0.2500

Principal peaks in the range 10 to 80 degrees two-theta, in order of falling intensity:
two_theta, intensity
23.6, 100
15.3, 34
22.7, 24
43.1, 24
20.6, 23
40.4, 22

(8)
Nb4B3C2: simulated powder XRD pattern (CuKα), based on a structure optimized by DFT (GGA-PBE).

Structure:
a = 19.0189 Å, b = 19.0189 Å, c = 3.1541 Å
α = 90.00°, β = 90.00°, γ = 170.18°
Positions (direct):
Nb 0.0358 0.9642 0.7500
Nb 0.1054 0.8946 0.2500
Nb 0.2195 0.7805 0.2500
Nb 0.3379 0.6621 0.2500
Nb 0.6621 0.3379 0.7500
Nb 0.7805 0.2195 0.7500
Nb 0.8946 0.1054 0.7500
Nb 0.9642 0.0358 0.2500
B 0.4146 0.5854 0.2500
B 0.4397 0.5603 0.7500
B 0.4882 0.5118 0.7500
B 0.5118 0.4882 0.2500
B 0.5603 0.4397 0.2500
B 0.5854 0.4146 0.7500
C 0.1617 0.8383 0.2500
C 0.2798 0.7202 0.2500
C 0.7202 0.2798 0.7500
C 0.8383 0.1617 0.7500

Principal peaks in the range 10 to 80 degrees two-theta, in order of falling intensity:
two_theta, intensity
34.2, 100
39.9, 65
38.0, 44
41.6, 42
34.8, 41
67.7, 27